1.
Starting from DFT lattice parameters and positions (GGA-PBE), the XRD peak list of NaB3Rh6 was simulated for Cu Kα, 1.54184 Å.
Intensities are scaled so that the largest is 100.

Principal peaks in the range 2θ = 5–70°, low angle first:
2theta  Rel. int.
19.67  29
32.79  51
35.83  64
37.50  100
38.53  62
39.96  27
45.29  26
48.99  35
49.35  43
61.66  21

Structural model:
```
10
Lattice="2.7314 1.5770 5.0129 -2.7314 1.5770 5.0129 0.0000 -3.1539 5.0129" Properties=species:S:1:pos:R:3 pbc="T T T"
Na 0.0000 0.0000 0.0000
B 0.0000 0.0000 2.8269
B 0.0000 0.0000 5.8781
B 0.0000 0.0000 10.9321
Rh -1.0225 -1.3779 7.1243
Rh -1.4342 0.6578 9.4625
Rh 0.1474 -1.5710 9.4625
Rh -0.6820 1.5744 7.1243
Rh 1.7045 -0.1966 7.1243
Rh 1.2868 0.9132 9.4625
```

=====

2.
Starting from DFT lattice parameters and positions (GGA-PBE), the XRD peak list of Pu2AsS6 was simulated for Cu Kα, 1.54184 Å.
Intensities are scaled so that the largest is 100.

Principal peaks in the range 2θ = 5–70°, low angle first:
2theta  Rel. int.
16.33  22
20.64  100
26.68  74
29.35  20
40.08  81
41.98  22
47.22  17
50.34  19
50.44  30
67.62  27

Structural model:
```
18
Lattice="6.0866 0.0000 0.0000 0.0000 6.0866 0.0000 0.0000 0.0000 11.9903" Properties=species:S:1:pos:R:3 pbc="T T T"
Pu 0.0000 0.0000 2.0088
Pu 0.0000 0.0000 9.9814
Pu 3.0433 3.0433 3.9863
Pu 3.0433 3.0433 8.0040
As 0.0000 0.0000 5.9951
As 3.0433 3.0433 0.0000
S 1.1654 1.1654 4.0508
S 1.1654 1.1654 7.9395
S 1.2114 1.2114 0.0000
S 1.8319 4.2547 5.9951
S 1.8779 4.2087 1.9443
S 1.8779 4.2087 10.0459
S 4.2087 1.8779 1.9443
S 4.2087 1.8779 10.0459
S 4.2547 1.8319 5.9951
S 4.8752 4.8752 0.0000
S 4.9212 4.9212 4.0508
S 4.9212 4.9212 7.9395
```

=====

3.
Starting from DFT lattice parameters and positions (GGA-PBE), the XRD peak list of Nd2YPaSb5 was simulated for Cu Kα, 1.54184 Å.
Intensities are scaled so that the largest is 100.

Principal peaks in the range 2θ = 5–70°, low angle first:
2theta  Rel. int.
7.61  69
17.88  20
22.92  77
28.20  29
30.78  45
32.64  100
38.73  36
45.48  61
46.83  32
57.09  31

Structural model:
```
9
Lattice="5.4869 0.0000 0.0000 0.0000 5.4869 0.0000 0.0000 0.0000 11.6192" Properties=species:S:1:pos:R:3 pbc="T T T"
Nd 0.0000 0.0000 2.5957
Nd 0.0000 0.0000 9.0235
Y 2.7435 2.7435 5.8096
Pa 2.7435 2.7435 0.0000
Sb 0.0000 0.0000 5.8096
Sb 0.0000 2.7435 0.0000
Sb 2.7435 0.0000 0.0000
Sb 2.7435 2.7435 2.9470
Sb 2.7435 2.7435 8.6721
```

=====

4.
Starting from DFT lattice parameters and positions (GGA-PBE), the XRD peak list of Sr5Zn was simulated for Cu Kα, 1.54184 Å.
Intensities are scaled so that the largest is 100.

Principal peaks in the range 2θ = 5–70°, low angle first:
2theta  Rel. int.
27.84  100
28.63  14
33.91  4
39.19  9
40.36  11
48.75  9
49.24  22
50.23  7
57.51  10
64.25  7

Structural model:
```
12
Lattice="4.5974 0.0000 0.0000 0.0000 18.7079 0.0000 0.0000 0.0000 6.4103" Properties=species:S:1:pos:R:3 pbc="T T T"
Sr 0.0000 0.0000 0.0000
Sr 0.0000 2.6101 3.2051
Sr 0.0000 6.2090 0.0000
Sr 0.0000 12.4988 0.0000
Sr 0.0000 16.0978 3.2051
Sr 2.2987 3.1449 0.0000
Sr 2.2987 6.7439 3.2051
Sr 2.2987 9.3539 0.0000
Sr 2.2987 11.9640 3.2051
Sr 2.2987 15.5630 0.0000
Zn 0.0000 9.3539 3.2051
Zn 2.2987 0.0000 3.2051
```

=====

5.
Starting from DFT lattice parameters and positions (GGA-PBE), the XRD peak list of DyTh5C4 was simulated for Cu Kα, 1.54184 Å.
Intensities are scaled so that the largest is 100.

Principal peaks in the range 2θ = 5–70°, low angle first:
2theta  Rel. int.
29.03  50
29.42  50
29.65  100
34.07  79
34.21  39
48.80  27
49.32  28
58.02  15
58.44  29
58.62  23

Structural model:
```
10
Lattice="8.0597 -1.8412 0.0000 8.0597 1.8412 0.0000 -1.6526 0.0000 7.3392" Properties=species:S:1:pos:R:3 pbc="T T T"
Dy 0.0000 0.0000 0.0000
Th -0.8263 0.0000 3.6696
Th 5.1817 0.0000 1.1565
Th 4.3572 0.0000 5.0779
Th 10.1096 0.0000 2.2613
Th 9.2851 0.0000 6.1826
C 2.5593 0.0000 0.5951
C 6.7750 0.0000 5.4809
C 7.6917 0.0000 1.8583
C 11.9075 0.0000 6.7441
```

=====

6.
Starting from DFT lattice parameters and positions (GGA-PBE), the XRD peak list of Na2NdGaO4 was simulated for Cu Kα, 1.54184 Å.
Intensities are scaled so that the largest is 100.

Principal peaks in the range 2θ = 5–70°, low angle first:
2theta  Rel. int.
15.91  100
31.31  31
32.14  22
32.61  41
33.41  20
37.84  72
38.11  34
49.59  19
53.95  22
55.63  21

Structural model:
```
8
Lattice="5.6848 0.0000 0.0000 0.0000 3.3750 0.0000 -1.9527 0.0000 5.5700" Properties=species:S:1:pos:R:3 pbc="T T T"
Na 0.0000 0.0000 0.0000
Na 2.8424 1.6875 0.0000
Nd -0.9763 1.6875 2.7850
Ga 1.8661 0.0000 2.7850
O 0.1855 0.0000 3.9415
O 1.0607 1.6875 1.6026
O 2.6714 1.6875 3.9674
O 3.5466 0.0000 1.6285
```

=====

7.
Starting from DFT lattice parameters and positions (GGA-PBE), the XRD peak list of KCaTl5 was simulated for Cu Kα, 1.54184 Å.
Intensities are scaled so that the largest is 100.

Principal peaks in the range 2θ = 5–70°, low angle first:
2theta  Rel. int.
7.83  38
15.69  28
27.09  17
31.46  100
31.68  23
38.68  29
50.84  24
56.29  16
65.53  25
65.66  11

Structural model:
```
7
Lattice="4.6552 0.0000 0.0000 0.0000 4.6552 0.0000 0.0000 0.0000 11.2958" Properties=species:S:1:pos:R:3 pbc="T T T"
K 0.0000 0.0000 0.0000
Ca 2.3276 2.3276 5.6479
Tl 0.0000 0.0000 5.6479
Tl 0.0000 2.3276 2.9885
Tl 0.0000 2.3276 8.3073
Tl 2.3276 0.0000 2.9885
Tl 2.3276 0.0000 8.3073
```

=====

8.
Starting from DFT lattice parameters and positions (GGA-PBE), the XRD peak list of Zr3PaN6 was simulated for Cu Kα, 1.54184 Å.
Intensities are scaled so that the largest is 100.

Principal peaks in the range 2θ = 5–70°, low angle first:
2theta  Rel. int.
19.02  24
21.72  29
30.30  100
31.50  93
36.55  16
44.28  40
49.03  26
53.07  15
55.35  40
56.09  26

Structural model:
```
10
Lattice="2.8399 1.6396 4.9140 -2.8399 1.6396 4.9140 0.0000 -3.2793 4.9140" Properties=species:S:1:pos:R:3 pbc="T T T"
Zr 0.0000 0.0000 0.0000
Zr 0.0000 0.0000 3.2557
Zr 0.0000 0.0000 10.5775
Pa 0.0000 0.0000 7.3471
N -0.8947 -1.8881 6.5421
N -1.6824 -0.0003 8.9601
N -1.1878 1.7188 6.5421
N 0.8415 -1.4568 8.9601
N 2.0825 0.1693 6.5421
N 0.8409 1.4571 8.9601
```

=====

9.
Starting from DFT lattice parameters and positions (GGA-PBE), the XRD peak list of TaSe2S was simulated for Cu Kα, 1.54184 Å.
Intensities are scaled so that the largest is 100.

Principal peaks in the range 2θ = 5–70°, low angle first:
2theta  Rel. int.
11.51  100
16.02  43
16.58  29
29.42  21
32.21  18
32.43  45
35.01  20
35.42  38
42.28  23
44.00  30

Structural model:
```
16
Lattice="11.0626 0.0000 0.0000 0.0000 3.3697 0.0000 0.0000 0.0000 10.6945" Properties=species:S:1:pos:R:3 pbc="T T T"
Ta 0.5802 0.8424 1.8757
Ta 4.9511 2.5272 7.2230
Ta 6.1115 0.8424 3.4716
Ta 10.4824 2.5272 8.8188
Se 1.0328 0.8424 7.6472
Se 1.4021 2.5272 0.0007
Se 4.1292 0.8424 5.3480
Se 4.4985 2.5272 2.2999
Se 6.5641 0.8424 8.3946
Se 6.9334 2.5272 5.3465
Se 9.6605 0.8424 10.6938
Se 10.0298 2.5272 3.0473
S 1.8637 2.5272 3.1559
S 3.6676 0.8424 8.5031
S 7.3950 2.5272 2.1914
S 9.1989 0.8424 7.5387
```

=====

10.
Starting from DFT lattice parameters and positions (GGA-PBE), the XRD peak list of PuPa10Ga2 was simulated for Cu Kα, 1.54184 Å.
Intensities are scaled so that the largest is 100.

Principal peaks in the range 2θ = 5–70°, low angle first:
2theta  Rel. int.
29.76  86
30.83  43
33.97  100
34.08  73
34.82  100
35.34  93
38.78  56
39.14  42
39.64  33
61.82  50

Structural model:
```
13
Lattice="0.0000 7.3223 7.5655 2.9004 0.0000 7.5655 2.9004 7.3223 0.0000" Properties=species:S:1:pos:R:3 pbc="T T T"
Pu 0.0000 0.0000 0.0000
Pa 1.4502 3.6611 0.0000
Pa 2.9004 2.6567 4.8849
Pa 2.9004 5.8453 5.9916
Pa 2.9004 2.6567 10.2461
Pa 2.9004 8.7993 5.9916
Pa 1.4502 3.6611 7.5655
Pa 2.9004 5.8453 9.1394
Pa 2.9004 11.9879 4.8849
Pa 2.9004 8.7993 9.1394
Pa 2.9004 11.9879 10.2461
Ga 1.4502 0.0000 3.7828
Ga 1.4502 7.3223 3.7828
```

=====

11.
Starting from DFT lattice parameters and positions (GGA-PBE), the XRD peak list of Y2Er7Tm was simulated for Cu Kα, 1.54184 Å.
Intensities are scaled so that the largest is 100.

Principal peaks in the range 2θ = 5–70°, low angle first:
2theta  Rel. int.
6.00  35
29.71  50
30.36  100
30.97  35
31.11  84
31.86  82
33.32  51
34.72  82
36.75  48
52.99  33

Structural model:
```
10
Lattice="3.0386 -14.7226 0.0000 3.0386 14.7226 0.0000 -0.0222 0.0000 3.4718" Properties=species:S:1:pos:R:3 pbc="T T T"
Y 3.0386 8.6058 0.0000
Y 3.0386 -8.6058 0.0000
Er 1.4724 2.9193 2.6733
Er 3.0275 5.6020 1.7359
Er 1.4724 -2.9193 2.6733
Er 3.0386 0.0000 0.0000
Er 4.5826 2.9193 0.7985
Er 3.0275 -5.6020 1.7359
Er 4.5826 -2.9193 0.7985
Tm -0.0111 0.0000 1.7359
```

=====

Please write out number 7 again, unchanged.
Starting from DFT lattice parameters and positions (GGA-PBE), the XRD peak list of KCaTl5 was simulated for Cu Kα, 1.54184 Å.
Intensities are scaled so that the largest is 100.

Principal peaks in the range 2θ = 5–70°, low angle first:
2theta  Rel. int.
7.83  38
15.69  28
27.09  17
31.46  100
31.68  23
38.68  29
50.84  24
56.29  16
65.53  25
65.66  11

Structural model:
```
7
Lattice="4.6552 0.0000 0.0000 0.0000 4.6552 0.0000 0.0000 0.0000 11.2958" Properties=species:S:1:pos:R:3 pbc="T T T"
K 0.0000 0.0000 0.0000
Ca 2.3276 2.3276 5.6479
Tl 0.0000 0.0000 5.6479
Tl 0.0000 2.3276 2.9885
Tl 0.0000 2.3276 8.3073
Tl 2.3276 0.0000 2.9885
Tl 2.3276 0.0000 8.3073
```